(1)
Starting from a DFT-relaxed cell (PBE, the Materials Project), the powder X-ray diffraction pattern of Mg14MoC was computed for a wavelength of 1.5418 Å.

Most intense lines, 15° ≤ 2θ ≤ 90°, in order of falling intensity:
2θ (°), d [Å], I (rel.)
38.30, 2.350, 100
33.25, 2.695, 26
18.88, 4.700, 26
37.46, 2.401, 24
72.38, 1.306, 18
59.40, 1.556, 17
68.15, 1.376, 16
50.95, 1.792, 15
16.45, 5.390, 14
72.92, 1.297, 13

Atomic structure:
a = 6.224 Å, b = 6.224 Å, c = 9.602 Å
α = 90.00°, β = 90.00°, γ = 120.00°
Element x y z (fractional)
Mg  0.000  0.000  0.245
Mg  0.000  0.000  0.755
Mg  0.024  0.512  0.258
Mg  0.024  0.512  0.742
Mg  0.330  0.165  0.500
Mg  0.340  0.170  0.000
Mg  0.488  0.512  0.258
Mg  0.488  0.512  0.742
Mg  0.488  0.976  0.258
Mg  0.488  0.976  0.742
Mg  0.830  0.170  0.000
Mg  0.830  0.660  0.000
Mg  0.835  0.165  0.500
Mg  0.835  0.670  0.500
Mo  0.333  0.667  0.000
C  0.333  0.667  0.500

=====

(2)
Starting from a DFT-relaxed cell (PBE, the Materials Project), the powder X-ray diffraction pattern of Li4Ti15O32 was computed for a wavelength of 1.5418 Å.

Most intense lines, 15° ≤ 2θ ≤ 90°, in order of falling intensity:
2θ (°), d [Å], I (rel.)
18.19, 4.877, 100
42.90, 2.108, 87
18.32, 4.844, 57
35.25, 2.546, 45
62.11, 1.494, 25
62.46, 1.487, 23
65.33, 1.428, 12
56.71, 1.623, 11
35.42, 2.534, 11
78.44, 1.219, 10

Atomic structure:
a = 19.680 Å, b = 19.680 Å, c = 19.680 Å
α = 17.47°, β = 17.47°, γ = 17.47°
Element x y z (fractional)
Li  0.094  0.094  0.094
Li  0.156  0.156  0.156
Li  0.844  0.844  0.844
Li  0.906  0.906  0.906
Ti  0.000  0.000  0.000
Ti  0.127  0.127  0.621
Ti  0.127  0.621  0.127
Ti  0.139  0.621  0.621
Ti  0.249  0.249  0.249
Ti  0.379  0.379  0.861
Ti  0.379  0.861  0.379
Ti  0.379  0.873  0.873
Ti  0.621  0.127  0.127
Ti  0.621  0.139  0.621
Ti  0.621  0.621  0.139
Ti  0.751  0.751  0.751
Ti  0.861  0.379  0.379
Ti  0.873  0.379  0.873
Ti  0.873  0.873  0.379
O  0.020  0.581  0.581
O  0.060  0.060  0.060
O  0.082  0.082  0.522
O  0.082  0.522  0.082
O  0.167  0.167  0.732
O  0.167  0.732  0.167
O  0.190  0.190  0.190
O  0.203  0.685  0.685
O  0.268  0.833  0.833
O  0.309  0.309  0.309
O  0.315  0.315  0.797
O  0.315  0.797  0.315
O  0.419  0.419  0.980
O  0.419  0.980  0.419
O  0.442  0.442  0.442
O  0.478  0.918  0.918
O  0.522  0.082  0.082
O  0.558  0.558  0.558
O  0.581  0.020  0.581
O  0.581  0.581  0.020
O  0.685  0.203  0.685
O  0.685  0.685  0.203
O  0.691  0.691  0.691
O  0.732  0.167  0.167
O  0.797  0.315  0.315
O  0.810  0.810  0.810
O  0.833  0.268  0.833
O  0.833  0.833  0.268
O  0.918  0.478  0.918
O  0.918  0.918  0.478
O  0.940  0.940  0.940
O  0.980  0.419  0.419

=====

(3)
Starting from a DFT-relaxed cell (PBE, the Materials Project), the powder X-ray diffraction pattern of NaNb3O8 was computed for a wavelength of 1.5418 Å.

Most intense lines, 15° ≤ 2θ ≤ 90°, in order of falling intensity:
2θ (°), d [Å], I (rel.)
29.39, 3.039, 100
30.23, 2.957, 87
49.63, 1.837, 60
34.63, 2.591, 35
58.38, 1.581, 31
59.83, 1.546, 24
50.86, 1.795, 17
34.42, 2.605, 15
48.68, 1.871, 14
59.08, 1.564, 13

Atomic structure:
a = 7.351 Å, b = 7.351 Å, c = 7.351 Å
α = 118.82°, β = 89.72°, γ = 121.52°
Element x y z (fractional)
Na  0.250  0.250  0.000
Na  0.750  0.750  0.000
Nb  0.237  0.245  0.482
Nb  0.250  0.750  0.500
Nb  0.263  0.745  0.009
Nb  0.737  0.255  0.991
Nb  0.750  0.250  0.500
Nb  0.763  0.755  0.518
O  0.061  0.502  0.163
O  0.078  0.396  0.474
O  0.161  0.998  0.560
O  0.165  0.018  0.183
O  0.335  0.518  0.853
O  0.339  0.898  0.837
O  0.422  0.896  0.317
O  0.439  0.602  0.440
O  0.561  0.398  0.560
O  0.578  0.104  0.683
O  0.661  0.102  0.163
O  0.665  0.482  0.147
O  0.835  0.982  0.817
O  0.839  0.002  0.440
O  0.922  0.604  0.526
O  0.939  0.498  0.837

=====

(4)
Starting from a DFT-relaxed cell (PBE, the Materials Project), the powder X-ray diffraction pattern of Na7Al3O8 was computed for a wavelength of 1.5418 Å.

Most intense lines, 15° ≤ 2θ ≤ 90°, in order of falling intensity:
2θ (°), d [Å], I (rel.)
35.66, 2.517, 100
38.40, 2.344, 62
38.60, 2.333, 50
33.47, 2.678, 40
45.13, 2.009, 36
35.36, 2.538, 36
35.54, 2.526, 31
24.59, 3.620, 30
45.00, 2.014, 27
24.77, 3.594, 21

Atomic structure:
a = 5.919 Å, b = 8.036 Å, c = 11.409 Å
α = 69.46°, β = 89.77°, γ = 71.09°
Element x y z (fractional)
Na  0.029  0.208  0.229
Na  0.053  0.193  0.738
Na  0.128  0.588  0.056
Na  0.159  0.598  0.552
Na  0.223  0.017  0.052
Na  0.245  0.991  0.556
Na  0.349  0.400  0.833
Na  0.651  0.600  0.167
Na  0.755  0.009  0.444
Na  0.777  0.983  0.948
Na  0.841  0.402  0.448
Na  0.872  0.412  0.944
Na  0.947  0.807  0.262
Na  0.971  0.792  0.771
Al  0.335  0.406  0.341
Al  0.431  0.800  0.364
Al  0.459  0.824  0.854
Al  0.541  0.176  0.146
Al  0.569  0.200  0.636
Al  0.665  0.594  0.659
O  0.036  0.490  0.269
O  0.139  0.905  0.396
O  0.180  0.867  0.918
O  0.279  0.300  0.036
O  0.346  0.267  0.505
O  0.432  0.597  0.334
O  0.450  0.716  0.740
O  0.479  0.057  0.772
O  0.521  0.943  0.228
O  0.550  0.284  0.260
O  0.568  0.403  0.666
O  0.654  0.733  0.495
O  0.721  0.700  0.964
O  0.820  0.133  0.082
O  0.861  0.095  0.604
O  0.964  0.510  0.731

=====

(5)
Starting from a DFT-relaxed cell (PBE, the Materials Project), the powder X-ray diffraction pattern of Er2InHg was computed for a wavelength of 1.5418 Å.

Most intense lines, 15° ≤ 2θ ≤ 90°, in order of falling intensity:
2θ (°), d [Å], I (rel.)
34.14, 2.626, 100
61.12, 1.516, 37
49.06, 1.857, 18
82.06, 1.174, 16
71.91, 1.313, 12
20.71, 4.288, 4
40.27, 2.240, 2
53.80, 1.704, 1
75.76, 1.256, 1
65.27, 1.429, 1

Atomic structure:
a = 5.252 Å, b = 5.252 Å, c = 5.252 Å
α = 60.00°, β = 60.00°, γ = 60.00°
Element x y z (fractional)
Er  0.250  0.250  0.250
Er  0.750  0.750  0.750
In  0.000  0.000  0.000
Hg  0.500  0.500  0.500

=====

(6)
Starting from a DFT-relaxed cell (PBE, the Materials Project), the powder X-ray diffraction pattern of Co4IrN4 was computed for a wavelength of 1.5418 Å.

Most intense lines, 15° ≤ 2θ ≤ 90°, in order of falling intensity:
2θ (°), d [Å], I (rel.)
38.59, 2.333, 100
34.74, 2.582, 79
38.15, 2.359, 76
42.51, 2.126, 69
36.36, 2.471, 57
23.75, 3.747, 46
38.35, 2.347, 39
25.56, 3.484, 36
18.81, 4.717, 35
51.59, 1.772, 34

Atomic structure:
a = 4.734 Å, b = 5.009 Å, c = 7.887 Å
α = 72.02°, β = 84.63°, γ = 80.67°
Element x y z (fractional)
Co  0.218  0.153  0.364
Co  0.220  0.342  0.932
Co  0.234  0.723  0.213
Co  0.254  0.463  0.560
Co  0.746  0.537  0.440
Co  0.766  0.277  0.787
Co  0.780  0.658  0.068
Co  0.782  0.847  0.636
Ir  0.263  0.937  0.760
Ir  0.737  0.063  0.240
N  0.012  0.807  0.427
N  0.168  0.673  0.003
N  0.347  0.087  0.143
N  0.490  0.411  0.328
N  0.510  0.589  0.672
N  0.653  0.913  0.857
N  0.832  0.327  0.997
N  0.988  0.193  0.573

=====

(7)
Starting from a DFT-relaxed cell (PBE, the Materials Project), the powder X-ray diffraction pattern of BiOs3C9O9 was computed for a wavelength of 1.5418 Å.

Most intense lines, 15° ≤ 2θ ≤ 90°, in order of falling intensity:
2θ (°), d [Å], I (rel.)
16.04, 5.527, 100
31.19, 2.868, 87
16.40, 5.406, 77
28.95, 3.084, 74
28.37, 3.146, 72
38.11, 2.361, 48
32.12, 2.787, 48
40.53, 2.226, 44
22.98, 3.870, 38
42.89, 2.108, 36

Atomic structure:
a = 7.647 Å, b = 9.567 Å, c = 13.058 Å
α = 91.27°, β = 105.29°, γ = 105.00°
Element x y z (fractional)
Bi  0.001  0.293  0.418
Bi  0.999  0.707  0.582
Os  0.033  0.946  0.721
Os  0.175  0.395  0.259
Os  0.187  0.747  0.825
Os  0.813  0.253  0.175
Os  0.825  0.605  0.741
Os  0.967  0.054  0.279
C  0.014  0.047  0.845
C  0.169  0.016  0.385
C  0.199  0.104  0.685
C  0.215  0.556  0.808
C  0.235  0.598  0.288
C  0.238  0.398  0.127
C  0.318  0.773  0.972
C  0.400  0.868  0.791
C  0.406  0.388  0.355
C  0.594  0.612  0.645
C  0.600  0.132  0.209
C  0.682  0.227  0.028
C  0.762  0.602  0.873
C  0.765  0.402  0.712
C  0.785  0.444  0.192
C  0.801  0.896  0.315
C  0.831  0.984  0.615
C  0.986  0.953  0.155
O  0.006  0.884  0.087
O  0.242  0.445  0.790
O  0.256  0.722  0.303
O  0.291  0.991  0.450
O  0.296  0.406  0.052
O  0.309  0.199  0.663
O  0.400  0.789  0.062
O  0.452  0.619  0.587
O  0.469  0.072  0.236
O  0.531  0.928  0.764
O  0.548  0.381  0.413
O  0.600  0.211  0.938
O  0.691  0.801  0.337
O  0.704  0.594  0.948
O  0.709  0.009  0.550
O  0.744  0.278  0.697
O  0.758  0.555  0.210
O  0.994  0.116  0.913

=====

(8)
Starting from a DFT-relaxed cell (PBE, the Materials Project), the powder X-ray diffraction pattern of Mg3Si2 was computed for a wavelength of 1.5418 Å.

Most intense lines, 15° ≤ 2θ ≤ 90°, in order of falling intensity:
2θ (°), d [Å], I (rel.)
36.28, 2.476, 100
30.34, 2.946, 84
35.29, 2.543, 63
42.50, 2.127, 55
43.29, 2.090, 50
38.83, 2.319, 40
44.30, 2.045, 34
34.01, 2.636, 30
44.53, 2.035, 27
41.15, 2.194, 23

Atomic structure:
a = 4.446 Å, b = 5.489 Å, c = 8.776 Å
α = 99.04°, β = 91.67°, γ = 104.23°
Element x y z (fractional)
Mg  0.099  0.497  0.232
Mg  0.282  0.102  0.609
Mg  0.345  0.202  0.954
Mg  0.655  0.798  0.046
Mg  0.718  0.898  0.391
Mg  0.901  0.503  0.768
Si  0.241  0.023  0.231
Si  0.391  0.620  0.601
Si  0.609  0.380  0.399
Si  0.759  0.977  0.769

=====

(9)
Starting from a DFT-relaxed cell (PBE, the Materials Project), the powder X-ray diffraction pattern of Mg2SnS4 was computed for a wavelength of 1.5418 Å.

Most intense lines, 15° ≤ 2θ ≤ 90°, in order of falling intensity:
2θ (°), d [Å], I (rel.)
17.84, 4.971, 100
27.50, 3.244, 85
28.23, 3.162, 70
51.84, 1.764, 61
47.99, 1.896, 52
31.62, 2.830, 44
23.33, 3.814, 33
15.67, 5.654, 31
47.69, 1.907, 29
18.32, 4.842, 29

Atomic structure:
a = 13.107 Å, b = 7.627 Å, c = 6.267 Å
α = 90.00°, β = 90.00°, γ = 90.00°
Element x y z (fractional)
Mg  0.000  0.000  0.000
Mg  0.000  0.500  0.000
Mg  0.230  0.250  0.495
Mg  0.270  0.750  0.995
Mg  0.500  0.000  0.500
Mg  0.500  0.500  0.500
Mg  0.730  0.250  0.005
Mg  0.770  0.750  0.505
Sn  0.091  0.750  0.422
Sn  0.409  0.250  0.922
Sn  0.591  0.750  0.078
Sn  0.909  0.250  0.578
S  0.075  0.250  0.753
S  0.092  0.750  0.803
S  0.170  0.506  0.239
S  0.170  0.994  0.239
S  0.330  0.006  0.739
S  0.330  0.494  0.739
S  0.408  0.250  0.303
S  0.425  0.750  0.253
S  0.575  0.250  0.747
S  0.592  0.750  0.697
S  0.670  0.506  0.261
S  0.670  0.994  0.261
S  0.830  0.006  0.761
S  0.830  0.494  0.761
S  0.908  0.250  0.197
S  0.925  0.750  0.247